# 1
The following is a simulated PXRD pattern of Li9Mn2Co5O16. It was derived from a DFT-relaxed cell (PBE+U, the Materials Project), using a wavelength of 1.5418 Å.
Neutral-atom scattering factors, no anomalous dispersion.

The 10 most intense peaks (10 to 90 degrees two-theta), in order of rising 2θ:
- 18.32 deg, d 4.843, intensity 100.0
- 34.88 deg, d 2.572, intensity 16.8
- 35.99 deg, d 2.496, intensity 13.9
- 36.72 deg, d 2.447, intensity 11.7
- 37.33 deg, d 2.409, intensity 7.8
- 41.94 deg, d 2.154, intensity 31.7
- 43.76 deg, d 2.069, intensity 26.9
- 44.64 deg, d 2.030, intensity 25.6
- 62.04 deg, d 1.496, intensity 7.8
- 62.40 deg, d 1.488, intensity 7.8

Cell and atoms:
Lattice parameters (Å, degrees): 2.943 9.866 10.513 72.78 83.19 87.25
Space group P1 (No. 1)
Asymmetric unit:
1 Li 0.000 0.000 0.000 (multiplicity 1)
2 Li 0.033 0.295 0.882 (multiplicity 1)
3 Li 0.180 0.931 0.624 (multiplicity 1)
4 Li 0.302 0.552 0.374 (multiplicity 1)
5 Li 0.428 0.172 0.117 (multiplicity 1)
6 Li 0.538 0.803 0.881 (multiplicity 1)
7 Li 0.682 0.433 0.622 (multiplicity 1)
8 Li 0.803 0.053 0.373 (multiplicity 1)
9 Li 0.929 0.679 0.130 (multiplicity 1)
10 Mn 0.603 0.113 0.757 (multiplicity 1)
11 Mn 0.737 0.740 0.496 (multiplicity 1)
12 Co 0.111 0.615 0.750 (multiplicity 1)
13 Co 0.230 0.238 0.502 (multiplicity 1)
14 Co 0.378 0.871 0.238 (multiplicity 1)
15 Co 0.484 0.491 0.002 (multiplicity 1)
16 Co 0.861 0.366 0.253 (multiplicity 1)
17 O 0.028 0.640 0.940 (multiplicity 1)
18 O 0.102 0.978 0.805 (multiplicity 1)
19 O 0.116 0.252 0.686 (multiplicity 1)
20 O 0.174 0.589 0.562 (multiplicity 1)
21 O 0.304 0.890 0.425 (multiplicity 1)
22 O 0.328 0.221 0.319 (multiplicity 1)
23 O 0.398 0.510 0.191 (multiplicity 1)
24 O 0.443 0.834 0.085 (multiplicity 1)
25 O 0.531 0.149 0.920 (multiplicity 1)
26 O 0.571 0.473 0.810 (multiplicity 1)
27 O 0.663 0.764 0.683 (multiplicity 1)
28 O 0.665 0.093 0.568 (multiplicity 1)
29 O 0.798 0.384 0.441 (multiplicity 1)
30 O 0.808 0.718 0.315 (multiplicity 1)
31 O 0.924 0.011 0.193 (multiplicity 1)
32 O 0.944 0.345 0.062 (multiplicity 1)

# 2
The following is a simulated PXRD pattern of LiVP2O8. It was derived from a DFT-relaxed cell (PBE+U, the Materials Project), using a wavelength of 1.5418 Å.
Neutral-atom scattering factors, no anomalous dispersion.

The 10 most intense peaks (10 to 90 degrees two-theta), in order of rising 2θ:
- 12.96 deg, d 6.829, intensity 100.0
- 15.84 deg, d 5.596, intensity 38.1
- 18.28 deg, d 4.854, intensity 16.1
- 19.45 deg, d 4.564, intensity 49.7
- 22.90 deg, d 3.884, intensity 35.3
- 23.91 deg, d 3.722, intensity 40.6
- 24.35 deg, d 3.656, intensity 15.3
- 26.04 deg, d 3.422, intensity 20.4
- 30.26 deg, d 2.954, intensity 16.5
- 31.03 deg, d 2.882, intensity 17.5

Cell and atoms:
Lattice parameters (Å, degrees): 7.557 13.658 6.228 90.00 99.90 90.00
Space group P2_1/c (No. 14)
Asymmetric unit:
1 Li 0.117 0.239 0.168 (multiplicity 4)
2 V 0.223 0.589 0.775 (multiplicity 4)
3 P 0.175 0.523 0.265 (multiplicity 4)
4 P 0.361 0.123 0.528 (multiplicity 4)
5 O 0.025 0.007 0.232 (multiplicity 4)
6 O 0.090 0.684 0.718 (multiplicity 4)
7 O 0.201 0.593 0.083 (multiplicity 4)
8 O 0.252 0.214 0.454 (multiplicity 4)
9 O 0.266 0.080 0.728 (multiplicity 4)
10 O 0.268 0.563 0.486 (multiplicity 4)
11 O 0.363 0.045 0.358 (multiplicity 4)
12 O 0.447 0.651 0.851 (multiplicity 4)